Computed X-ray diffraction stick pattern
Compound: SmMn10Fe2
Radiation: Cu Kα X-rays
Structure: a PBE-relaxed structure
No peak broadening, texture or thermal motion is included.

Cell and atoms:
Unit cell a=8.391 b=9.635 c=8.044 alpha=90.00 beta=90.00 gamma=90.00
Space group Cmcm (No. 63)
Asymmetric unit:
1 Sm 0.000 0.120 0.250 (multiplicity 4)
2 Mn 0.000 0.172 0.607 (multiplicity 8)
3 Mn 0.000 0.396 0.069 (multiplicity 8)
4 Mn 0.133 0.384 0.750 (multiplicity 8)
5 Mn 0.229 0.000 0.000 (multiplicity 8)
6 Mn 0.240 0.368 0.250 (multiplicity 8)
7 Fe 0.250 0.250 0.000 (multiplicity 8)

Peak list (10 most intense, 10 to 90 degrees two-theta, by intensity)
hkl 2 2 3, 44.28 deg, intensity 100; hkl 0 4 2, 43.81 deg, intensity 75; hkl 3 1 2, 40.38 deg, intensity 54; hkl 4 0 0, 43.12 deg, intensity 49; hkl 0 2 3, 38.42 deg, intensity 45; hkl 2 4 0, 43.31 deg, intensity 44; hkl 2 2 1, 30.36 deg, intensity 32; hkl 0 0 4, 45.08 deg, intensity 29; hkl 3 3 1, 44.40 deg, intensity 27; hkl 2 4 2, 49.15 deg, intensity 27

***

Computed X-ray diffraction stick pattern
Compound: HfGa
Radiation: Cu Kα X-rays
Structure: a PBE-relaxed structure
No peak broadening, texture or thermal motion is included.

Cell and atoms:
Unit cell a=3.828 b=4.069 c=14.565 alpha=90.00 beta=90.00 gamma=90.00
Space group Immm (No. 71)
Asymmetric unit:
1 Hf 0.000 0.000 0.000 (multiplicity 2)
2 Hf 0.000 0.500 0.327 (multiplicity 4)
3 Ga 0.000 0.000 0.500 (multiplicity 2)
4 Ga 0.000 0.500 0.137 (multiplicity 4)

Peak list (10 most intense, 10 to 90 degrees two-theta, by intensity)
hkl 1 1 2, 34.45 deg, intensity 100; hkl 1 1 4, 40.76 deg, intensity 74; hkl 0 0 6, 37.03 deg, intensity 40; hkl 1 0 3, 29.72 deg, intensity 35; hkl 0 2 0, 44.54 deg, intensity 31; hkl 0 1 5, 37.99 deg, intensity 27; hkl 2 0 0, 47.51 deg, intensity 25; hkl 1 0 9, 62.34 deg, intensity 21; hkl 0 2 6, 59.26 deg, intensity 20; hkl 2 0 6, 61.72 deg, intensity 20

***

Computed X-ray diffraction stick pattern
Compound: Ho3Tm2Se6
Radiation: Cu Kα X-rays
Structure: a PBE-relaxed structure
No peak broadening, texture or thermal motion is included.

Cell and atoms:
Unit cell a=6.981 b=12.036 c=6.954 alpha=90.00 beta=109.50 gamma=90.00
Space group C2/m (No. 12)
Asymmetric unit:
1 Ho 0.000 0.000 0.000 (multiplicity 2)
2 Ho 0.000 0.335 0.000 (multiplicity 4)
3 Tm 0.000 0.165 0.500 (multiplicity 4)
4 Se 0.246 0.335 0.744 (multiplicity 8)
5 Se 0.247 0.500 0.259 (multiplicity 4)

Peak list (10 most intense, 10 to 90 degrees two-theta, by intensity)
hkl 1 3 1, 31.48 deg, intensity 100; hkl 2 0 2, 45.06 deg, intensity 37; hkl 0 6 0, 45.18 deg, intensity 37; hkl 2 6 -2, 56.11 deg, intensity 19; hkl 3 3 3, 74.69 deg, intensity 11; hkl 1 9 1, 74.82 deg, intensity 11; hkl 1 9 -3, 83.41 deg, intensity 10; hkl 0 0 2, 27.20 deg, intensity 10; hkl 3 9 -1, 83.31 deg, intensity 8; hkl 2 6 2, 65.76 deg, intensity 8

***

Computed X-ray diffraction stick pattern
Compound: KCu3Cl4
Radiation: Cu Kα X-rays
Structure: a PBE-relaxed structure
No peak broadening, texture or thermal motion is included.

Cell and atoms:
Unit cell a=7.744 b=4.294 c=7.896 alpha=90.00 beta=115.49 gamma=90.00
Space group P2/m (No. 10)
Asymmetric unit:
1 K 0.000 0.000 0.000 (multiplicity 1)
2 Cu 0.000 0.500 0.500 (multiplicity 1)
3 Cu 0.457 0.500 0.712 (multiplicity 2)
4 Cl 0.218 0.500 0.781 (multiplicity 2)
5 Cl 0.269 0.500 0.290 (multiplicity 2)

Peak list (10 most intense, 10 to 90 degrees two-theta, by intensity)
hkl 0 1 0, 20.68 deg, intensity 100; hkl 1 0 2, 32.69 deg, intensity 53; hkl 0 1 1, 24.20 deg, intensity 29; hkl 1 0 -2, 22.61 deg, intensity 25; hkl 3 0 -2, 35.84 deg, intensity 23; hkl 0 2 0, 42.08 deg, intensity 22; hkl 3 1 -2, 41.74 deg, intensity 16; hkl 1 1 -1, 24.72 deg, intensity 16; hkl 1 2 2, 54.35 deg, intensity 15; hkl 3 1 -1, 40.99 deg, intensity 14

***

Computed X-ray diffraction stick pattern
Compound: BaTb2ZnS5
Radiation: Cu Kα X-rays
Structure: a PBE-relaxed structure
No peak broadening, texture or thermal motion is included.

Cell and atoms:
Unit cell a=7.743 b=7.743 c=13.610 alpha=90.00 beta=90.00 gamma=90.00
Space group I4/mcm (No. 140)
Asymmetric unit:
1 Ba 0.000 0.000 0.250 (multiplicity 4)
2 Tb 0.162 0.338 0.000 (multiplicity 8)
3 Zn 0.000 0.500 0.250 (multiplicity 4)
4 S 0.000 0.000 0.000 (multiplicity 4)
5 S 0.148 0.352 0.370 (multiplicity 16)

Peak list (10 most intense, 10 to 90 degrees two-theta, by intensity)
hkl 2 0 2, 26.52 deg, intensity 100; hkl 2 1 3, 32.53 deg, intensity 80; hkl 2 1 5, 42.23 deg, intensity 34; hkl 3 1 0, 36.71 deg, intensity 31; hkl 0 0 4, 26.19 deg, intensity 30; hkl 4 0 2, 48.94 deg, intensity 24; hkl 2 2 0, 32.71 deg, intensity 19; hkl 0 0 2, 13.01 deg, intensity 17; hkl 2 2 4, 42.38 deg, intensity 16; hkl 2 0 6, 46.39 deg, intensity 15

***

Computed X-ray diffraction stick pattern
Compound: Li4Er9Hg11
Radiation: Cu Kα X-rays
Structure: a PBE-relaxed structure
No peak broadening, texture or thermal motion is included.

Cell and atoms:
Unit cell a=14.909 b=21.420 c=3.492 alpha=90.00 beta=90.00 gamma=90.00
Space group Cmmm (No. 65)
Asymmetric unit:
1 Li 0.150 0.097 0.000 (multiplicity 8)
2 Er 0.000 0.000 0.000 (multiplicity 2)
3 Er 0.114 0.243 0.000 (multiplicity 8)
4 Er 0.135 0.420 0.000 (multiplicity 8)
5 Hg 0.000 0.134 0.500 (multiplicity 4)
6 Hg 0.000 0.337 0.500 (multiplicity 4)
7 Hg 0.000 0.500 0.500 (multiplicity 2)
8 Hg 0.205 0.000 0.500 (multiplicity 4)
9 Hg 0.244 0.327 0.500 (multiplicity 8)

Peak list (10 most intense, 10 to 90 degrees two-theta, by intensity)
hkl 4 6 0, 34.80 deg, intensity 100; hkl 4 0 1, 35.22 deg, intensity 96; hkl 0 6 1, 35.97 deg, intensity 89; hkl 4 6 2, 64.45 deg, intensity 36; hkl 3 1 1, 31.59 deg, intensity 27; hkl 1 5 1, 33.65 deg, intensity 26; hkl 3 5 0, 27.49 deg, intensity 24; hkl 0 0 2, 52.40 deg, intensity 23; hkl 8 6 1, 62.16 deg, intensity 19; hkl 8 0 0, 48.88 deg, intensity 18

***

Computed X-ray diffraction stick pattern
Compound: Ca2ZrNpP4
Radiation: Cu Kα X-rays
Structure: a PBE-relaxed structure
No peak broadening, texture or thermal motion is included.

Cell and atoms:
Unit cell a=6.811 b=3.954 c=6.983 alpha=90.00 beta=108.89 gamma=90.00
Space group P2/m (No. 10)
Asymmetric unit:
1 Ca 0.000 0.000 0.000 (multiplicity 1)
2 Ca 0.500 0.500 0.000 (multiplicity 1)
3 Zr 0.000 0.500 0.500 (multiplicity 1)
4 Np 0.500 0.000 0.500 (multiplicity 1)
5 P 0.238 0.000 0.724 (multiplicity 2)
6 P 0.253 0.500 0.275 (multiplicity 2)

Peak list (10 most intense, 10 to 90 degrees two-theta, by intensity)
hkl 1 1 1, 31.78 deg, intensity 100; hkl 0 0 1, 13.40 deg, intensity 88; hkl 2 0 0, 27.63 deg, intensity 61; hkl 2 0 2, 45.22 deg, intensity 53; hkl 2 0 -2, 31.91 deg, intensity 49; hkl 3 1 -1, 46.11 deg, intensity 35; hkl 1 1 0, 26.45 deg, intensity 30; hkl 0 0 2, 26.99 deg, intensity 22; hkl 1 0 0, 13.74 deg, intensity 21; hkl 2 2 -2, 56.99 deg, intensity 18

***

Computed X-ray diffraction stick pattern
Compound: BaLa2Tl2Cd2
Radiation: Cu Kα X-rays
Structure: a PBE-relaxed structure
No peak broadening, texture or thermal motion is included.

Cell and atoms:
Unit cell a=5.0993 b=5.0993 c=30.2134 alpha=90.00 beta=90.00 gamma=120.00
Space group R-3m (No. 166, hexagonal axes)
Asymmetric unit:
1 Ba 0.0000 0.0000 0.0000 (multiplicity 3)
2 La 0.0000 0.0000 0.1418 (multiplicity 6)
3 Tl 0.0000 0.0000 0.2599 (multiplicity 6)
4 Cd 0.0000 0.0000 0.4334 (multiplicity 6)

Peak list (10 most intense, 10 to 90 degrees two-theta, by intensity)
hkl 1 0 7, 28.93 deg, intensity 100; hkl 1 1 0, 35.20 deg, intensity 100; hkl 0 2 7, 46.18 deg, intensity 28; hkl 1 0 10, 36.02 deg, intensity 26; hkl 2 1 7, 59.37 deg, intensity 26; hkl 0 1 8, 31.16 deg, intensity 25; hkl 3 0 0, 63.16 deg, intensity 18; hkl 1 0 4, 23.33 deg, intensity 16; hkl 0 0 6, 17.61 deg, intensity 12; hkl 2 2 0, 74.42 deg, intensity 11